Structure and simulated powder XRD pattern of LaNiSb3 (a crystal structure in the Materials Project, relaxed with GGA-PBE; Cu Ka).
Neutral-atom scattering factors, no anomalous dispersion.

Largest 8 diffraction maxima, low angle first, 10 to 90 degrees two-theta:
2θ 27.54, d 3.239, rel. 32, hkl 4 0 0
2θ 29.97, d 2.982, rel. 27, hkl 1 0 4
2θ 31.48, d 2.842, rel. 71, hkl 2 2 0
2θ 32.32, d 2.770, rel. 46, hkl 2 0 4
2θ 34.38, d 2.609, rel. 100, hkl 4 1 2
2θ 35.17, d 2.552, rel. 25, hkl 3 2 0
2θ 35.93, d 2.499, rel. 46, hkl 3 0 4
2θ 41.01, d 2.201, rel. 77, hkl 0 2 4

Crystal structure
a b c (Å): 12.9571 6.3252 12.2560
angles (deg): 90.00 90.00 90.00
Space group Pbcm (No. 57)
Inequivalent atoms, fractional coordinates:
La (0.1970, 0.2252, 0.2500) x4
La (0.2013, 0.7500, 0.0000) x4
Ni (0.4030, 0.0434, 0.6358) x8
Sb (0.0027, 0.0118, 0.6238) x8
Sb (0.2805, 0.2500, 0.0000) x4
Sb (0.2869, 0.7262, 0.2500) x4
Sb (0.4446, 0.1000, 0.2500) x4
Sb (0.4731, 0.7500, 0.0000) x4


Structure and simulated powder XRD pattern of LaSi2Ni2 (a crystal structure in the Materials Project, relaxed with GGA-PBE; Cu Ka).
Neutral-atom scattering factors, no anomalous dispersion.

Largest 8 diffraction maxima, low angle first, 10 to 90 degrees two-theta:
2θ 23.51, d 3.784, rel. 41, hkl 1 0 1
2θ 35.39, d 2.536, rel. 51, hkl 1 0 3
2θ 36.05, d 2.492, rel. 100, hkl 1 1 2
2θ 44.04, d 2.056, rel. 43, hkl 2 0 0
2θ 57.72, d 1.597, rel. 24, hkl 2 1 3
2θ 58.98, d 1.566, rel. 15, hkl 2 0 4
2θ 66.33, d 1.409, rel. 18, hkl 1 1 6
2θ 75.74, d 1.256, rel. 21, hkl 3 1 2

Crystal structure
a b c (Å): 4.1123 4.1123 9.6662
angles (deg): 90.00 90.00 90.00
Space group I4/mmm (No. 139)
Inequivalent atoms, fractional coordinates:
La (0.0000, 0.0000, 0.0000) x2
Si (0.0000, 0.0000, 0.3676) x4
Ni (0.0000, 0.5000, 0.2500) x4


Structure and simulated powder XRD pattern of LaSiNi4 (a crystal structure in the Materials Project, relaxed with GGA-PBE; Cu Ka).
Neutral-atom scattering factors, no anomalous dispersion.

Largest 8 diffraction maxima, low angle first, 10 to 90 degrees two-theta:
2θ 30.22, d 2.957, rel. 24, hkl 1 1 1
2θ 31.12, d 2.874, rel. 46, hkl 0 2 1
2θ 36.63, d 2.453, rel. 47, hkl 1 3 0
2θ 40.71, d 2.216, rel. 38, hkl 2 2 0
2θ 41.31, d 2.185, rel. 82, hkl 2 0 1
2θ 43.37, d 2.086, rel. 100, hkl 1 3 1
2θ 45.71, d 1.985, rel. 40, hkl 0 0 2
2θ 62.87, d 1.478, rel. 29, hkl 2 2 2

Crystal structure
a b c (Å): 5.2357 8.3314 3.9694
angles (deg): 90.00 90.00 90.00
Space group Cmmm (No. 65)
Inequivalent atoms, fractional coordinates:
La (0.0000, 0.0000, 0.0000) x2
Si (0.0000, 0.5000, 0.5000) x2
Ni (0.0000, 0.3435, 0.0000) x4
Ni (0.2500, 0.2500, 0.5000) x4


Structure and simulated powder XRD pattern of LaSi2Ni (a crystal structure in the Materials Project, relaxed with GGA-PBE; Cu Ka).
Neutral-atom scattering factors, no anomalous dispersion.

Largest 8 diffraction maxima, low angle first, 10 to 90 degrees two-theta:
2θ 30.63, d 2.918, rel. 28, hkl 0 4 1
2θ 30.81, d 2.902, rel. 89, hkl 1 1 1
2θ 34.29, d 2.615, rel. 84, hkl 1 5 0
2θ 34.47, d 2.602, rel. 100, hkl 1 3 1
2θ 39.26, d 2.295, rel. 45, hkl 0 6 1
2θ 42.66, d 2.120, rel. 39, hkl 2 0 0
2θ 44.16, d 2.051, rel. 36, hkl 0 0 2
2θ 57.07, d 1.614, rel. 38, hkl 1 5 2

Crystal structure
a b c (Å): 4.2390 16.6148 4.1015
angles (deg): 90.00 90.00 90.00
Space group Cmcm (No. 63)
Inequivalent atoms, fractional coordinates:
La (0.0000, 0.1076, 0.2500) x4
Si (0.0000, 0.2499, 0.7500) x4
Si (0.0000, 0.4589, 0.2500) x4
Ni (0.0000, 0.3179, 0.2500) x4